This entry pairs a crystal structure of TlCdBr with its computed XRD peak list. Radiation: Cu Ka. Structure: a crystal structure in Alexandria, relaxed with GGA-PBE.
Intensities are scaled so that the largest is 100.

Structural model:
```
data_TlCdBr
_cell_length_a 4.6149
_cell_length_b 4.6149
_cell_length_c 5.7656
_cell_angle_alpha 90.00
_cell_angle_beta 90.00
_cell_angle_gamma 120.00
_space_group_name_H-M_alt 'P 3 m 1'
_space_group_IT_number 156
_space_group_name_Hall 'P 3 -2"'
loop_
_atom_site_label
_atom_site_type_symbol
_atom_site_fract_x
_atom_site_fract_y
_atom_site_fract_z
_atom_site_occupancy
Tl1 Tl 0.0000 0.0000 0.0000 1
Cd1 Cd 0.6667 0.3333 0.6568 1
Br1 Br 0.3333 0.6667 0.3342 1
```

The 8 most intense peaks (5° ≤ 2θ ≤ 70°), in order of falling intensity:
Position (°2θ), I (rel.), (hkl)
27.15, 100, 0 1 1
38.50, 39, 1 0 2
39.04, 35, 1 1 0
48.20, 21, 2 0 1
63.68, 18, 1 2 1
62.94, 17, 1 1 3
55.99, 13, 0 2 2
22.24, 10, 1 0 0

***

This entry pairs a crystal structure of Ac2Dy3Y4 with its computed XRD peak list. Radiation: Cu Ka. Structure: a crystal structure in Alexandria, relaxed with GGA-PBE.
Intensities are scaled so that the largest is 100.

Structural model:
```
data_Ac2Dy3Y4
_cell_length_a 6.2148
_cell_length_b 12.4969
_cell_length_c 16.4626
_cell_angle_alpha 90.00
_cell_angle_beta 90.00
_cell_angle_gamma 90.00
_space_group_name_H-M_alt 'F m m m'
_space_group_IT_number 69
_space_group_name_Hall '-F 2 2'
loop_
_atom_site_label
_atom_site_type_symbol
_atom_site_fract_x
_atom_site_fract_y
_atom_site_fract_z
_atom_site_occupancy
Ac1 Ac 0.0000 0.0000 0.1152 1
Dy1 Dy 0.0000 0.0000 0.5000 1
Dy2 Dy 0.2500 0.2500 0.0000 1
Y1 Y 0.0000 0.1459 0.3132 1
```

The 8 most intense peaks (5° ≤ 2θ ≤ 70°), in order of falling intensity:
Position (°2θ), I (rel.), (hkl)
30.57, 100, 0 4 2
31.57, 65, 1 1 5
32.17, 37, 2 2 0
34.01, 34, 2 2 2
25.92, 32, 0 2 4
53.31, 26, 0 4 8
10.75, 25, 0 0 2
55.54, 22, 2 2 8